# 1
MgV2S4: theoretical XRD peak list (Cu Ka), based on a crystal structure in the Materials Project, relaxed with GGA-PBE.
Intensities are scaled so that the largest is 100.

The 12 most intense peaks (10° ≤ 2θ ≤ 90°), by angle:
| 2θ/deg | Rel. int. |
| --- | --- |
| 12.51 | 100 |
| 31.75 | 40 |
| 34.25 | 13 |
| 37.17 | 43 |
| 45.42 | 72 |
| 51.68 | 5 |
| 55.98 | 6 |
| 56.57 | 25 |
| 58.18 | 8 |
| 69.64 | 6 |
| 75.35 | 14 |
| 80.15 | 8 |

Structural model:
```
data_MgV2S4
_chemical_formula_sum 'Mg1 V2 S4'
_symmetry_space_group_name_H-M 'P 3 m 1'
_symmetry_Int_Tables_number 156
_symmetry_space_group_name_Hall 'P 3 -2"'
_cell_length_a 3.2540
_cell_length_b 3.2540
_cell_length_c 14.1499
_cell_angle_alpha 90.00
_cell_angle_beta 90.00
_cell_angle_gamma 120.00
loop_
_atom_site_label
_atom_site_type_symbol
_atom_site_fract_x
_atom_site_fract_y
_atom_site_fract_z
Mg1 Mg 0.0000 0.0000 0.0000
V1 V 0.0000 0.0000 0.7726
V2 V 0.6667 0.3333 0.2741
S1 S 0.0000 0.0000 0.1717
S2 S 0.0000 0.0000 0.3757
S3 S 0.6667 0.3333 0.6699
S4 S 0.6667 0.3333 0.8795
```

# 2
Tb2NiGe4: theoretical XRD peak list (Cu Ka), based on a crystal structure in the Materials Project, relaxed with GGA-PBE.
Intensities are scaled so that the largest is 100.

The 12 most intense peaks (10° ≤ 2θ ≤ 90°), by angle:
| 2θ/deg | Rel. int. |
| --- | --- |
| 24.37 | 14 |
| 31.40 | 11 |
| 32.67 | 12 |
| 34.96 | 26 |
| 35.08 | 100 |
| 39.62 | 22 |
| 44.14 | 22 |
| 44.43 | 22 |
| 57.75 | 12 |
| 60.80 | 13 |
| 64.42 | 14 |
| 75.30 | 13 |

Structural model:
```
data_Tb2NiGe4
_chemical_formula_sum 'Tb4 Ni2 Ge8'
_symmetry_space_group_name_H-M 'A m m 2'
_symmetry_Int_Tables_number 38
_symmetry_space_group_name_Hall 'A 2 -2'
_cell_length_a 4.078
_cell_length_b 4.103
_cell_length_c 16.445
_cell_angle_alpha 90.00
_cell_angle_beta 90.00
_cell_angle_gamma 90.00
loop_
_atom_site_label
_atom_site_type_symbol
_atom_site_fract_x
_atom_site_fract_y
_atom_site_fract_z
Tb1 Tb 0.000 0.000 0.000
Tb2 Tb 0.500 0.000 0.211
Ni1 Ni 0.000 0.000 0.793
Ge1 Ge 0.000 0.000 0.366
Ge2 Ge 0.000 0.000 0.652
Ge3 Ge 0.500 0.000 0.556
Ge4 Ge 0.500 0.000 0.864
```

# 3
AgSbO12: theoretical XRD peak list (Cu Ka), based on a crystal structure in the Materials Project, relaxed with GGA-PBE.
Intensities are scaled so that the largest is 100.

The 12 most intense peaks (10° ≤ 2θ ≤ 90°), by angle:
| 2θ/deg | Rel. int. |
| --- | --- |
| 23.93 | 100 |
| 29.41 | 5 |
| 34.09 | 22 |
| 42.08 | 92 |
| 44.77 | 3 |
| 48.98 | 17 |
| 55.23 | 34 |
| 61.03 | 10 |
| 66.52 | 23 |
| 76.90 | 21 |
| 81.91 | 9 |
| 86.86 | 9 |

Structural model:
a = 10.519 Å, b = 10.519 Å, c = 10.519 Å
α = 90.00°, β = 90.00°, γ = 90.00°
Space group Fd-3m (No. 227, origin choice 2)
Unique sites:
Ag  0.125  0.125  0.125 [8 per cell]
Sb  0.125  0.125  0.625 [8 per cell]
O  0.036  0.036  0.843 [96 per cell]

# 4
ZrN2: theoretical XRD peak list (Cu Ka), based on a crystal structure in the Materials Project, relaxed with GGA-PBE.
Intensities are scaled so that the largest is 100.

The 12 most intense peaks (10° ≤ 2θ ≤ 90°), by angle:
| 2θ/deg | Rel. int. |
| --- | --- |
| 29.61 | 75 |
| 31.23 | 41 |
| 31.89 | 100 |
| 41.32 | 31 |
| 43.39 | 14 |
| 47.97 | 19 |
| 53.12 | 44 |
| 54.42 | 40 |
| 57.39 | 23 |
| 61.46 | 10 |
| 65.13 | 14 |
| 85.19 | 10 |

Structural model:
```
data_ZrN2
_chemical_formula_sum 'Zr2 N4'
_symmetry_space_group_name_H-M 'P m m n'
_symmetry_Int_Tables_number 59
_cell_length_a 3.793
_cell_length_b 4.370
_cell_length_c 4.171
_cell_angle_alpha 90.00
_cell_angle_beta 90.00
_cell_angle_gamma 90.00
loop_
_symmetry_equiv_pos_as_xyz
'x,y,z'
'-x,-y,-z'
'-x+1/2,-y+1/2,z'
'x+1/2,y+1/2,-z'
'x+1/2,-y,-z'
'-x+1/2,y,z'
'-x,y+1/2,-z'
'x,-y+1/2,z'
loop_
_atom_site_label
_atom_site_type_symbol
_atom_site_fract_x
_atom_site_fract_y
_atom_site_fract_z
Zr1 Zr 0.250 0.250 0.250
N1 N 0.250 0.750 0.000
N2 N 0.250 0.750 0.353
```

# 5
FeP: theoretical XRD peak list (Cu Ka), based on a crystal structure in the Materials Project, relaxed with GGA-PBE.
Intensities are scaled so that the largest is 100.

The 12 most intense peaks (10° ≤ 2θ ≤ 90°), by angle:
| 2θ/deg | Rel. int. |
| --- | --- |
| 31.06 | 18 |
| 33.22 | 71 |
| 34.86 | 22 |
| 35.73 | 14 |
| 37.65 | 34 |
| 46.82 | 47 |
| 47.37 | 52 |
| 48.91 | 100 |
| 50.76 | 26 |
| 56.64 | 33 |
| 60.67 | 23 |
| 80.39 | 20 |

Structural model:
```
data_FeP
_chemical_formula_sum 'Fe4 P4'
_symmetry_space_group_name_H-M 'P n m a'
_symmetry_Int_Tables_number 62
_symmetry_space_group_name_Hall '-P 2ac 2n'
_cell_length_a 5.148
_cell_length_b 3.053
_cell_length_c 5.759
_cell_angle_alpha 90.00
_cell_angle_beta 90.00
_cell_angle_gamma 90.00
loop_
_atom_site_label
_atom_site_type_symbol
_atom_site_fract_x
_atom_site_fract_y
_atom_site_fract_z
Fe1 Fe 0.001 0.250 0.202
P1 P 0.191 0.250 0.567
```

# 6
CdCNCl3: theoretical XRD peak list (Cu Ka), based on a crystal structure in the Materials Project, relaxed with GGA-PBE.
Intensities are scaled so that the largest is 100.

The 12 most intense peaks (10° ≤ 2θ ≤ 90°), by angle:
| 2θ/deg | Rel. int. |
| --- | --- |
| 10.36 | 100 |
| 13.50 | 24 |
| 14.41 | 66 |
| 20.81 | 21 |
| 21.24 | 13 |
| 24.42 | 23 |
| 28.89 | 19 |
| 32.14 | 14 |
| 36.75 | 12 |
| 37.57 | 22 |
| 38.98 | 13 |
| 41.30 | 12 |

Structural model:
```
data_CdCNCl3
_chemical_formula_sum 'Cd2 C2 N2 Cl6'
_symmetry_space_group_name_H-M 'P 1 21/m 1'
_symmetry_Int_Tables_number 11
_symmetry_space_group_name_Hall '-P 2yb'
_cell_length_a 6.860
_cell_length_b 7.009
_cell_length_c 8.930
_cell_angle_alpha 90.00
_cell_angle_beta 107.10
_cell_angle_gamma 90.00
loop_
_atom_site_label
_atom_site_type_symbol
_atom_site_fract_x
_atom_site_fract_y
_atom_site_fract_z
Cd1 Cd 0.000 0.000 0.000
C1 C 0.472 0.250 0.353
N1 N 0.361 0.750 0.657
Cl1 Cl 0.241 0.250 0.949
Cl2 Cl 0.244 0.250 0.371
Cl3 Cl 0.275 0.750 0.119
```

# 7
Ti7P4: theoretical XRD peak list (Cu Ka), based on a crystal structure in the Materials Project, relaxed with GGA-PBE.
Intensities are scaled so that the largest is 100.

The 12 most intense peaks (10° ≤ 2θ ≤ 90°), by angle:
| 2θ/deg | Rel. int. |
| --- | --- |
| 34.10 | 34 |
| 35.70 | 66 |
| 37.33 | 68 |
| 38.04 | 28 |
| 39.71 | 78 |
| 40.95 | 82 |
| 41.08 | 100 |
| 41.39 | 73 |
| 41.89 | 24 |
| 42.54 | 35 |
| 43.79 | 50 |
| 53.80 | 67 |

Structural model:
```
data_Ti7P4
_chemical_formula_sum 'Ti28 P16'
_symmetry_space_group_name_H-M 'C 1 2/m 1'
_symmetry_Int_Tables_number 12
_symmetry_space_group_name_Hall '-C 2y'
_cell_length_a 14.677
_cell_length_b 3.408
_cell_length_c 13.626
_cell_angle_alpha 90.00
_cell_angle_beta 104.73
_cell_angle_gamma 90.00
loop_
_atom_site_label
_atom_site_type_symbol
_atom_site_fract_x
_atom_site_fract_y
_atom_site_fract_z
Ti1 Ti 0.000 0.000 0.000
Ti2 Ti 0.000 0.500 0.500
Ti3 Ti 0.004 0.000 0.663
Ti4 Ti 0.069 0.500 0.172
Ti5 Ti 0.160 0.500 0.970
Ti6 Ti 0.178 0.000 0.542
Ti7 Ti 0.196 0.000 0.308
Ti8 Ti 0.206 0.000 0.794
P1 P 0.063 0.000 0.850
P2 P 0.127 0.500 0.396
P3 P 0.130 0.500 0.658
P4 P 0.176 0.000 0.111
```

# 8
CaGe2O5: theoretical XRD peak list (Cu Ka), based on a crystal structure in the Materials Project, relaxed with GGA-PBE.
Intensities are scaled so that the largest is 100.

The 12 most intense peaks (10° ≤ 2θ ≤ 90°), by angle:
| 2θ/deg | Rel. int. |
| --- | --- |
| 17.60 | 23 |
| 27.65 | 100 |
| 29.22 | 87 |
| 33.58 | 98 |
| 34.51 | 64 |
| 37.45 | 19 |
| 43.24 | 24 |
| 52.91 | 18 |
| 53.16 | 22 |
| 54.64 | 35 |
| 58.28 | 24 |
| 62.20 | 23 |

Structural model:
```
data_CaGe2O5
_chemical_formula_sum 'Ca4 Ge8 O20'
_symmetry_space_group_name_H-M 'C 1 2/c 1'
_symmetry_Int_Tables_number 15
_symmetry_space_group_name_Hall '-C 2yc'
_cell_length_a 6.669
_cell_length_b 8.902
_cell_length_c 6.985
_cell_angle_alpha 90.00
_cell_angle_beta 113.57
_cell_angle_gamma 90.00
loop_
_atom_site_label
_atom_site_type_symbol
_atom_site_fract_x
_atom_site_fract_y
_atom_site_fract_z
Ca1 Ca 0.000 0.171 0.250
Ge1 Ge 0.000 0.185 0.750
Ge2 Ge 0.000 0.500 0.000
O1 O 0.000 0.430 0.250
O2 O 0.105 0.297 0.601
O3 O 0.193 0.058 0.925
```